No. 1
For Na6MnTe4, a crystal structure in the Materials Project, relaxed with PBE gives the simulated powder diffraction line list in this record (λ = 1.5418 Å (Cu Kα)).
Lines closer than 0.1° are merged.

Structure:
```
data_Na6MnTe4
_cell_length_a 10.0927
_cell_length_b 10.0927
_cell_length_c 7.7606
_cell_angle_alpha 90.00
_cell_angle_beta 90.00
_cell_angle_gamma 120.00
_space_group_name_H-M_alt 'P 63 m c'
_space_group_IT_number 186
_space_group_name_Hall 'P 6c -2c'
loop_
_atom_site_label
_atom_site_fract_x
_atom_site_fract_y
_atom_site_fract_z
Na1 0.0554 0.5277 0.0000
Na2 0.1501 0.3003 0.6704
Mn1 0.3333 0.6667 0.3800
Te1 0.1852 0.3704 0.2706
Te2 0.3333 0.6667 0.7333
```

Peak list (8 most intense, 2θ from 15° to 90°, by intensity)
- 23.4 deg, I = 100, (2 0 1)
- 35.6 deg, I = 60, (2 2 0)
- 30.8 deg, I = 48, (2 0 2)
- 40.5 deg, I = 42, (2 0 3)
- 20.3 deg, I = 39, (2 0 0)
- 22.9 deg, I = 34, (0 0 2)
- 42.7 deg, I = 33, (2 2 2)
- 43.0 deg, I = 16, (4 0 1)



No. 2
For VAu2, a crystal structure in the Materials Project, relaxed with PBE gives the simulated powder diffraction line list in this record (λ = 1.5418 Å (Cu Kα)).
Lines closer than 0.1° are merged.

Structure:
```
data_VAu2
_cell_length_a 8.712
_cell_length_b 4.837
_cell_length_c 4.812
_cell_angle_alpha 90.00
_cell_angle_beta 90.00
_cell_angle_gamma 90.00
_space_group_name_H-M_alt 'C m c m'
_space_group_IT_number 63
_space_group_name_Hall '-C 2c 2'
loop_
_atom_site_label
_atom_site_fract_x
_atom_site_fract_y
_atom_site_fract_z
V1 0.000 0.218 0.250
Au1 0.161 0.279 0.750
```

Peak list (8 most intense, 2θ from 15° to 90°, by intensity)
- 40.8 deg, I = 100, (3 1 1)
- 28.1 deg, I = 34, (1 1 1)
- 37.4 deg, I = 33, (0 0 2)
- 37.2 deg, I = 29, (0 2 0)
- 69.7 deg, I = 21, (3 1 3)
- 53.7 deg, I = 20, (0 2 2)
- 69.5 deg, I = 16, (3 3 1)
- 20.4 deg, I = 11, (2 0 0)



No. 3
For Tb2Mn3Al, a crystal structure in the Materials Project, relaxed with PBE gives the simulated powder diffraction line list in this record (λ = 1.5418 Å (Cu Kα)).
Lines closer than 0.1° are merged.

Structure:
```
data_Tb2Mn3Al
_cell_length_a 5.4483
_cell_length_b 5.4483
_cell_length_c 12.9304
_cell_angle_alpha 90.00
_cell_angle_beta 90.00
_cell_angle_gamma 120.00
_space_group_name_H-M_alt 'R -3 m'
_space_group_IT_number 166
_space_group_name_Hall '-R 3 2"'
loop_
_atom_site_label
_atom_site_fract_x
_atom_site_fract_y
_atom_site_fract_z
Tb1 0.0000 0.0000 0.1238
Mn1 0.0000 0.5000 0.0000
Al1 0.0000 0.0000 0.5000
```

Peak list (8 most intense, 2θ from 15° to 90°, by intensity)
- 39.1 deg, I = 100, (1 1 3)
- 33.6 deg, I = 99, (1 0 4)
- 38.8 deg, I = 75, (0 2 1)
- 32.9 deg, I = 72, (1 1 0)
- 20.0 deg, I = 58, (1 0 1)
- 39.7 deg, I = 52, (0 1 5)
- 59.2 deg, I = 39, (2 1 4)
- 63.4 deg, I = 26, (1 2 5)



No. 4
For Y2Co5Cu5, a crystal structure in the Materials Project, relaxed with PBE gives the simulated powder diffraction line list in this record (λ = 1.5418 Å (Cu Kα)).
Lines closer than 0.1° are merged.

Structure:
```
data_Y2Co5Cu5
_cell_length_a 4.051
_cell_length_b 4.991
_cell_length_c 8.552
_cell_angle_alpha 90.00
_cell_angle_beta 90.00
_cell_angle_gamma 90.00
_space_group_name_H-M_alt 'P m m m'
_space_group_IT_number 47
_space_group_name_Hall '-P 2 2'
loop_
_atom_site_label
_atom_site_fract_x
_atom_site_fract_y
_atom_site_fract_z
Y1 0.000 0.000 0.000
Y2 0.000 0.500 0.500
Co1 0.000 0.000 0.336
Co2 0.000 0.500 0.154
Co3 0.500 0.500 0.000
Cu1 0.500 0.000 0.500
Cu2 0.500 0.250 0.249
```

Peak list (8 most intense, 2θ from 15° to 90°, by intensity)
- 42.8 deg, I = 100, (1 1 3)
- 42.5 deg, I = 54, (1 2 0)
- 44.7 deg, I = 49, (2 0 0)
- 41.9 deg, I = 41, (0 2 2)
- 30.3 deg, I = 27, (1 1 1)
- 47.8 deg, I = 25, (1 2 2)
- 63.0 deg, I = 23, (2 2 2)
- 36.3 deg, I = 23, (0 1 3)



No. 5
For MgCd, a crystal structure in the Materials Project, relaxed with PBE gives the simulated powder diffraction line list in this record (λ = 1.5418 Å (Cu Kα)).
Lines closer than 0.1° are merged.

Structure:
```
data_MgCd
_cell_length_a 4.976
_cell_length_b 3.255
_cell_length_c 5.346
_cell_angle_alpha 90.00
_cell_angle_beta 90.00
_cell_angle_gamma 90.00
_space_group_name_H-M_alt 'P m m a'
_space_group_IT_number 51
_space_group_name_Hall '-P 2a 2a'
loop_
_atom_site_label
_atom_site_fract_x
_atom_site_fract_y
_atom_site_fract_z
Mg1 0.250 0.000 0.183
Cd1 0.250 0.500 0.682
```

Peak list (8 most intense, 2θ from 15° to 90°, by intensity)
- 37.0 deg, I = 100, (1 1 1)
- 24.4 deg, I = 59, (1 0 1)
- 36.1 deg, I = 32, (2 0 0)
- 38.2 deg, I = 31, (1 0 2)
- 27.4 deg, I = 27, (0 1 0)
- 65.5 deg, I = 17, (3 1 1)
- 33.5 deg, I = 17, (0 0 2)
- 16.6 deg, I = 15, (0 0 1)



No. 6
For Ta4CoP, a crystal structure in the Materials Project, relaxed with PBE gives the simulated powder diffraction line list in this record (λ = 1.5418 Å (Cu Kα)).
Lines closer than 0.1° are merged.

Structure:
```
data_Ta4CoP
_cell_length_a 6.133
_cell_length_b 6.133
_cell_length_c 5.011
_cell_angle_alpha 90.00
_cell_angle_beta 90.00
_cell_angle_gamma 90.00
_space_group_name_H-M_alt 'P 4/m c c'
_space_group_IT_number 124
_space_group_name_Hall '-P 4 2c'
loop_
_atom_site_label
_atom_site_fract_x
_atom_site_fract_y
_atom_site_fract_z
Ta1 0.159 0.333 0.000
Co1 0.000 0.000 0.250
P1 0.500 0.500 0.250
```

Peak list (8 most intense, 2θ from 15° to 90°, by intensity)
- 37.4 deg, I = 100, (2 1 1)
- 65.4 deg, I = 36, (2 1 3)
- 46.8 deg, I = 35, (3 1 0)
- 35.8 deg, I = 18, (0 0 2)
- 87.9 deg, I = 18, (5 2 1)
- 76.0 deg, I = 17, (0 0 4)
- 41.6 deg, I = 14, (1 1 2)
- 29.1 deg, I = 9, (2 0 0)



No. 7
For LiBe2Pt, a crystal structure in the Materials Project, relaxed with PBE gives the simulated powder diffraction line list in this record (λ = 1.5418 Å (Cu Kα)).
Lines closer than 0.1° are merged.

Structure:
```
data_LiBe2Pt
_cell_length_a 5.561
_cell_length_b 5.561
_cell_length_c 5.561
_cell_angle_alpha 90.00
_cell_angle_beta 90.00
_cell_angle_gamma 90.00
_space_group_name_H-M_alt 'F m -3 m'
_space_group_IT_number 225
_space_group_name_Hall '-F 4 2 3'
loop_
_atom_site_label
_atom_site_fract_x
_atom_site_fract_y
_atom_site_fract_z
Li1 0.000 0.000 0.000
Be1 0.250 0.250 0.250
Pt1 0.000 0.000 0.500
```

Peak list (8 most intense, 2θ from 15° to 90°, by intensity)
- 27.8 deg, I = 100, (1 1 1)
- 32.2 deg, I = 50, (2 0 0)
- 46.2 deg, I = 48, (2 2 0)
- 54.7 deg, I = 47, (3 1 1)
- 74.4 deg, I = 19, (3 3 1)
- 76.6 deg, I = 17, (4 2 0)
- 85.6 deg, I = 17, (4 2 2)
- 57.4 deg, I = 13, (2 2 2)